No. 1
Computed PXRD pattern
Compound: Bi12O16F5
Radiation: λ = 1.5418 Å (Cu Kα)
Structure: a DFT-relaxed cell (GGA-PBE, Alexandria)
Lines closer than 0.1° are merged.

Structure:
```
data_Bi12O16F5
_chemical_formula_sum 'Bi24 O32 F10'
_cell_length_a 26.9287
_cell_length_b 3.7846
_cell_length_c 10.5231
_cell_angle_alpha 90.00
_cell_angle_beta 101.51
_cell_angle_gamma 90.00
_space_group_name_H-M_alt 'C 1 2 1'
_space_group_IT_number 5
loop_
_space_group_symop_operation_xyz
'x,y,z'
'-x,y,-z'
'x+1/2,y+1/2,z'
'-x+1/2,y+1/2,-z'
loop_
_atom_site_label
_atom_site_fract_x
_atom_site_fract_y
_atom_site_fract_z
Bi1 0.0574 0.0000 0.2309
Bi2 0.0640 0.5023 0.9231
Bi3 0.0677 0.9947 0.6025
Bi4 0.1839 0.4990 0.7559
Bi5 0.1866 0.0002 0.0635
Bi6 0.1910 0.9880 0.4427
O1 0.0282 0.9998 0.7730
O2 0.0310 0.5045 0.1226
O3 0.0974 0.4994 0.7124
O4 0.0987 0.0011 0.0572
O5 0.1555 0.9996 0.6269
O6 0.1571 0.5014 0.9579
O7 0.2203 0.0003 0.8833
O8 0.2242 0.4982 0.5542
F1 0.0000 0.5067 0.5000
F2 0.1015 0.5282 0.4060
F3 0.1897 0.5127 0.2670
```

Most intense lines, 10 to 90 degrees two-theta, sorted by position:
2θ (°)	I (rel.)	index
25.53	42	1 1 1
26.75	64	4 0 -3
27.03	67	8 0 0
31.66	29	4 0 3
32.15	100	3 1 2
33.45	27	7 1 -1
44.25	22	12 0 -3
48.09	22	0 2 0
49.87	23	1 1 -5
51.14	22	11 1 2

=====

No. 2
Computed PXRD pattern
Compound: LiMgNb2Cr
Radiation: λ = 1.5418 Å (Cu Kα)
Structure: a DFT-relaxed cell (GGA-PBE, Alexandria)
Lines closer than 0.1° are merged.

Structure:
```
data_LiMgNb2Cr
_chemical_formula_sum 'Li1 Mg1 Nb2 Cr1'
_cell_length_a 4.8334
_cell_length_b 4.8334
_cell_length_c 4.4409
_cell_angle_alpha 90.00
_cell_angle_beta 90.00
_cell_angle_gamma 90.00
_space_group_name_H-M_alt 'P 4/m m m'
_space_group_IT_number 123
_space_group_name_Hall '-P 4 2'
loop_
_atom_site_label
_atom_site_fract_x
_atom_site_fract_y
_atom_site_fract_z
Li1 0.0000 0.0000 0.0000
Mg1 0.5000 0.5000 0.5000
Nb1 0.0000 0.5000 0.5000
Cr1 0.5000 0.5000 0.0000
```

Most intense lines, 10 to 90 degrees two-theta, sorted by position:
2θ (°)	I (rel.)	index
18.36	25	1 0 0
19.99	45	0 0 1
26.07	21	1 1 0
33.07	100	1 1 1
37.20	54	2 0 0
40.63	21	0 0 2
42.59	24	2 0 1
53.63	18	2 2 0
56.26	31	2 0 2
64.47	27	3 1 1

=====

No. 3
Computed PXRD pattern
Compound: CeY3Se4
Radiation: λ = 1.5418 Å (Cu Kα)
Structure: a DFT-relaxed cell (GGA-PBE, Alexandria)
Lines closer than 0.1° are merged.

Structure:
```
data_CeY3Se4
_chemical_formula_sum 'Ce1 Y3 Se4'
_cell_length_a 5.8233
_cell_length_b 5.8233
_cell_length_c 5.8233
_cell_angle_alpha 90.00
_cell_angle_beta 90.00
_cell_angle_gamma 90.00
_space_group_name_H-M_alt 'P m -3 m'
_space_group_IT_number 221
_space_group_name_Hall '-P 4 2 3'
loop_
_atom_site_label
_atom_site_fract_x
_atom_site_fract_y
_atom_site_fract_z
Ce1 0.0000 0.0000 0.0000
Y1 0.0000 0.5000 0.5000
Se1 0.0000 0.0000 0.5000
Se2 0.5000 0.5000 0.5000
```

Most intense lines, 10 to 90 degrees two-theta, sorted by position:
2θ (°)	I (rel.)	index
15.21	2	1 0 0
21.58	2	1 1 0
26.51	3	1 1 1
30.71	100	2 0 0
43.98	73	2 2 0
52.09	1	3 1 1
54.59	25	2 2 2
63.95	12	4 0 0
72.60	32	4 2 0
80.86	24	4 2 2

=====

No. 4
Computed PXRD pattern
Compound: YHo4Se5
Radiation: λ = 1.5418 Å (Cu Kα)
Structure: a DFT-relaxed cell (GGA-PBE, Alexandria)
Lines closer than 0.1° are merged.

Structure:
```
data_YHo4Se5
_chemical_formula_sum 'Y2 Ho8 Se10'
_cell_length_a 4.0557
_cell_length_b 4.0557
_cell_length_c 28.8217
_cell_angle_alpha 90.00
_cell_angle_beta 90.00
_cell_angle_gamma 90.00
_space_group_name_H-M_alt 'I 4/m m m'
_space_group_IT_number 139
_space_group_name_Hall '-I 4 2'
loop_
_atom_site_label
_atom_site_fract_x
_atom_site_fract_y
_atom_site_fract_z
Y1 0.0000 0.0000 0.0000
Ho1 0.0000 0.0000 0.2033
Ho2 0.0000 0.0000 0.4020
Se1 0.0000 0.0000 0.1017
Se2 0.0000 0.0000 0.3022
Se3 0.0000 0.0000 0.5000
```

Most intense lines, 10 to 90 degrees two-theta, sorted by position:
2θ (°)	I (rel.)	index
26.88	26	1 0 5
31.03	50	0 0 10
31.19	100	1 1 0
44.57	73	1 1 10
44.69	37	2 0 0
55.40	38	2 0 10
73.55	15	1 1 20
73.81	16	2 2 10
73.90	17	3 1 0
82.28	25	3 1 10

=====

No. 5
Computed PXRD pattern
Compound: PaCd2PO8
Radiation: λ = 1.5418 Å (Cu Kα)
Structure: a DFT-relaxed cell (GGA-PBE, Alexandria)
Lines closer than 0.1° are merged.

Structure:
```
data_PaCd2PO8
_chemical_formula_sum 'Pa1 Cd2 P1 O8'
_cell_length_a 4.2378
_cell_length_b 5.2313
_cell_length_c 6.5691
_cell_angle_alpha 86.17
_cell_angle_beta 88.93
_cell_angle_gamma 85.94
_space_group_name_H-M_alt 'P -1'
_space_group_IT_number 2
loop_
_space_group_symop_operation_xyz
'x,y,z'
'-x,-y,-z'
loop_
_atom_site_label
_atom_site_fract_x
_atom_site_fract_y
_atom_site_fract_z
Pa1 0.0000 0.0000 0.0000
Cd1 0.4448 0.4617 0.2679
P1 0.0000 0.0000 0.5000
O1 0.0823 0.7718 0.6955
O2 0.1014 0.7954 0.3165
O3 0.3746 0.2421 0.9846
O4 0.3817 0.1072 0.5158
```

Most intense lines, 10 to 90 degrees two-theta, sorted by position:
2θ (°)	I (rel.)	index
13.51	43	0 0 1
22.50	41	0 1 -1
25.23	42	1 0 -1
26.21	99	1 1 0
28.11	100	1 -1 0
28.92	32	1 1 1
31.28	84	0 1 2
33.25	65	0 1 -2
34.42	77	1 0 2
49.57	39	-1 2 2

=====

No. 6
Computed PXRD pattern
Compound: K3Hg4
Radiation: λ = 1.5418 Å (Cu Kα)
Structure: a DFT-relaxed cell (GGA-PBE, Alexandria)
Lines closer than 0.1° are merged.

Structure:
```
data_K3Hg4
_chemical_formula_sum 'K12 Hg16'
_cell_length_a 12.6353
_cell_length_b 4.8646
_cell_length_c 16.7366
_cell_angle_alpha 90.00
_cell_angle_beta 90.01
_cell_angle_gamma 90.00
_space_group_name_H-M_alt 'C 1 2/m 1'
_space_group_IT_number 12
loop_
_space_group_symop_operation_xyz
'x,y,z'
'-x,-y,-z'
'-x,y,-z'
'x,-y,z'
'x+1/2,y+1/2,z'
'-x+1/2,-y+1/2,-z'
'-x+1/2,y+1/2,-z'
'x+1/2,-y+1/2,z'
loop_
_atom_site_label
_atom_site_fract_x
_atom_site_fract_y
_atom_site_fract_z
K1 0.0130 0.0000 0.2499
K2 0.1992 0.5000 0.5985
K3 0.1989 0.5000 0.9014
Hg1 0.0000 0.0000 0.0000
Hg2 0.0000 0.0000 0.5000
Hg3 0.0882 0.5000 0.4025
Hg4 0.0886 0.5000 0.0974
Hg5 0.2277 0.5000 0.2501
```

Most intense lines, 10 to 90 degrees two-theta, sorted by position:
2θ (°)	I (rel.)	index
14.99	45	2 0 1
17.59	83	2 0 2
20.27	58	1 1 1
28.02	34	3 1 0
29.02	84	1 1 4
32.37	100	3 1 -3
35.61	33	4 0 4
36.96	39	0 2 0
37.86	43	1 1 6
52.28	31	4 2 4

=====

No. 7
Computed PXRD pattern
Compound: CaReAu
Radiation: λ = 1.5418 Å (Cu Kα)
Structure: a DFT-relaxed cell (GGA-PBE, Alexandria)
Lines closer than 0.1° are merged.

Structure:
```
data_CaReAu
_chemical_formula_sum 'Ca1 Re1 Au1'
_cell_length_a 4.8690
_cell_length_b 4.8690
_cell_length_c 2.8190
_cell_angle_alpha 90.00
_cell_angle_beta 90.00
_cell_angle_gamma 120.00
_space_group_name_H-M_alt 'P -6 m 2'
_space_group_IT_number 187
_space_group_name_Hall 'P -6 2'
loop_
_atom_site_label
_atom_site_fract_x
_atom_site_fract_y
_atom_site_fract_z
Ca1 0.0000 0.0000 0.0000
Re1 0.3333 0.6667 0.5000
Au1 0.6667 0.3333 0.5000
```

Most intense lines, 10 to 90 degrees two-theta, sorted by position:
2θ (°)	I (rel.)	index
21.07	49	1 0 0
31.74	32	0 0 1
36.92	100	1 1 0
38.41	54	1 0 1
49.47	57	1 1 1
54.34	20	2 0 1
66.52	18	3 0 0
67.51	20	2 1 1
75.59	17	3 0 1
78.40	23	1 1 2

=====

No. 8
Computed PXRD pattern
Compound: DyMn6GaGe5
Radiation: λ = 1.5418 Å (Cu Kα)
Structure: a DFT-relaxed cell (GGA-PBE, Alexandria)
Lines closer than 0.1° are merged.

Structure:
```
data_DyMn6GaGe5
_chemical_formula_sum 'Dy1 Mn6 Ga1 Ge5'
_cell_length_a 5.1503
_cell_length_b 5.1503
_cell_length_c 8.1969
_cell_angle_alpha 90.00
_cell_angle_beta 90.00
_cell_angle_gamma 120.00
_space_group_name_H-M_alt 'P -6 m 2'
_space_group_IT_number 187
_space_group_name_Hall 'P -6 2'
loop_
_atom_site_label
_atom_site_fract_x
_atom_site_fract_y
_atom_site_fract_z
Dy1 0.0000 0.0000 0.0000
Mn1 0.0008 0.5004 0.2480
Ga1 0.6667 0.3333 0.5000
Ge1 0.0000 0.0000 0.3440
Ge2 0.3333 0.6667 0.0000
Ge3 0.3333 0.6667 0.5000
Ge4 0.6667 0.3333 0.0000
```

Most intense lines, 10 to 90 degrees two-theta, sorted by position:
2θ (°)	I (rel.)	index
34.84	76	1 1 0
38.64	45	1 0 3
40.45	50	2 0 0
41.41	100	1 1 2
44.20	24	0 0 4
46.35	38	2 0 2
48.58	24	1 1 3
66.95	23	3 0 2
73.56	29	2 2 0
79.40	27	1 1 6

=====

No. 9
Computed PXRD pattern
Compound: Li2IrRuO6
Radiation: λ = 1.5418 Å (Cu Kα)
Structure: a DFT-relaxed cell (GGA-PBE, Alexandria)
Lines closer than 0.1° are merged.

Structure:
```
data_Li2IrRuO6
_chemical_formula_sum 'Li2 Ir1 Ru1 O6'
_cell_length_a 5.5859
_cell_length_b 5.5859
_cell_length_c 3.8063
_cell_angle_alpha 90.00
_cell_angle_beta 90.00
_cell_angle_gamma 90.00
_space_group_name_H-M_alt 'P 4 m m'
_space_group_IT_number 99
loop_
_space_group_symop_operation_xyz
'x,y,z'
'-y,x,z'
'-x,-y,z'
'y,-x,z'
'-x,y,z'
'y,x,z'
'x,-y,z'
'-y,-x,z'
loop_
_atom_site_label
_atom_site_fract_x
_atom_site_fract_y
_atom_site_fract_z
Li1 0.0000 0.5000 0.0000
Ir1 0.0000 0.0000 0.8297
Ru1 0.5000 0.5000 0.8188
O1 0.0000 0.0000 0.3399
O2 0.2504 0.2504 0.8724
O3 0.5000 0.5000 0.3403
```

Most intense lines, 10 to 90 degrees two-theta, sorted by position:
2θ (°)	I (rel.)	index
22.51	100	1 1 0
23.37	50	0 0 1
32.05	29	2 0 0
32.67	50	1 1 1
40.04	18	2 0 1
45.95	23	2 2 0
51.75	20	3 1 0
52.18	22	2 2 1
53.44	20	1 1 2
57.52	21	3 1 1

=====

No. 10
Computed PXRD pattern
Compound: TbSm5Er12
Radiation: λ = 1.5418 Å (Cu Kα)
Structure: a DFT-relaxed cell (GGA-PBE, Alexandria)
Lines closer than 0.1° are merged.

Structure:
```
data_TbSm5Er12
_chemical_formula_sum 'Tb2 Sm10 Er24'
_cell_length_a 11.2253
_cell_length_b 17.2311
_cell_length_c 5.9075
_cell_angle_alpha 90.00
_cell_angle_beta 90.02
_cell_angle_gamma 90.00
_space_group_name_H-M_alt 'C 1 2/m 1'
_space_group_IT_number 12
loop_
_space_group_symop_operation_xyz
'x,y,z'
'-x,-y,-z'
'-x,y,-z'
'x,-y,z'
'x+1/2,y+1/2,z'
'-x+1/2,-y+1/2,-z'
'-x+1/2,y+1/2,-z'
'x+1/2,-y+1/2,z'
loop_
_atom_site_label
_atom_site_fract_x
_atom_site_fract_y
_atom_site_fract_z
Tb1 0.0000 0.0000 0.0000
Sm1 0.0000 0.1656 0.5000
Sm2 0.0000 0.3344 0.0000
Sm3 0.0000 0.5000 0.5000
Er1 0.1765 0.0000 0.5533
Er2 0.1755 0.1665 0.9503
Er3 0.1762 0.3333 0.5497
Er4 0.1785 0.5000 0.9468
```

Most intense lines, 10 to 90 degrees two-theta, sorted by position:
2θ (°)	I (rel.)	index
30.26	24	0 0 2
31.14	30	0 6 0
32.33	100	3 3 1
35.09	12	1 3 -2
43.98	18	0 6 2
48.67	8	6 0 0
55.07	12	3 3 3
56.17	21	3 9 1
58.92	9	6 6 0
67.66	9	6 6 2

=====

No. 11
Computed PXRD pattern
Compound: Ba2Al3Au5
Radiation: λ = 1.5418 Å (Cu Kα)
Structure: a DFT-relaxed cell (GGA-PBE, Alexandria)
Lines closer than 0.1° are merged.

Structure:
```
data_Ba2Al3Au5
_chemical_formula_sum 'Ba8 Al12 Au20'
_cell_length_a 10.5225
_cell_length_b 13.4628
_cell_length_c 6.6867
_cell_angle_alpha 90.00
_cell_angle_beta 90.00
_cell_angle_gamma 90.00
_space_group_name_H-M_alt 'I b a m'
_space_group_IT_number 72
_space_group_name_Hall '-I 2 2c'
loop_
_atom_site_label
_atom_site_fract_x
_atom_site_fract_y
_atom_site_fract_z
Ba1 0.2440 0.1335 0.0000
Al1 0.0000 0.5000 0.2500
Al2 0.1073 0.1265 0.5000
Au1 0.0000 0.0000 0.2500
Au2 0.0000 0.2540 0.2500
Au3 0.1446 0.3971 0.0000
```

Most intense lines, 10 to 90 degrees two-theta, sorted by position:
2θ (°)	I (rel.)	index
21.50	17	1 3 0
26.26	20	3 1 0
28.79	19	1 1 2
29.37	20	2 3 1
31.56	66	2 4 0
31.72	100	2 0 2
37.93	73	0 4 2
43.79	19	4 0 2
47.25	20	5 2 1
64.72	20	2 4 4

=====

No. 12
Computed PXRD pattern
Compound: CuNi2PtSe8
Radiation: λ = 1.5418 Å (Cu Kα)
Structure: a DFT-relaxed cell (GGA-PBE, Alexandria)
Lines closer than 0.1° are merged.

Structure:
```
data_CuNi2PtSe8
_chemical_formula_sum 'Cu2 Ni4 Pt2 Se16'
_cell_length_a 9.3873
_cell_length_b 9.3873
_cell_length_c 7.7120
_cell_angle_alpha 90.00
_cell_angle_beta 90.00
_cell_angle_gamma 90.00
_space_group_name_H-M_alt 'I -4 m 2'
_space_group_IT_number 119
_space_group_name_Hall 'I -4 -2'
loop_
_atom_site_label
_atom_site_fract_x
_atom_site_fract_y
_atom_site_fract_z
Cu1 0.0000 0.0000 0.0000
Ni1 0.0000 0.0000 0.5000
Ni2 0.0000 0.5000 0.2500
Pt1 0.0000 0.5000 0.7500
Se1 0.0000 0.1411 0.7397
Se2 0.0000 0.3550 0.0148
```

Most intense lines, 10 to 90 degrees two-theta, sorted by position:
2θ (°)	I (rel.)	index
14.87	23	1 0 1
18.91	100	2 0 0
30.84	40	3 0 1
36.42	15	3 2 1
38.28	44	3 1 2
45.67	13	3 0 3
47.14	11	0 0 4
47.37	40	3 3 2
51.22	13	2 0 4
62.53	25	5 3 2